Diffraction record for MgP2WO7. The PXRD pattern is computed, not measured: it uses a cell relaxed with GGA+U and Cu Ka.
No peak broadening, texture or thermal motion is included.

Crystal structure
```
data_MgP2WO7
_chemical_formula_sum 'Mg2 P4 W2 O14'
_symmetry_space_group_name_H-M 'P -1'
_symmetry_Int_Tables_number 2
_cell_length_a 5.579
_cell_length_b 6.683
_cell_length_c 8.004
_cell_angle_alpha 80.33
_cell_angle_beta 88.60
_cell_angle_gamma 71.32
loop_
_symmetry_equiv_pos_as_xyz
'x,y,z'
'-x,-y,-z'
loop_
_atom_site_label
_atom_site_type_symbol
_atom_site_fract_x
_atom_site_fract_y
_atom_site_fract_z
_atom_site_occupancy
Mg1 Mg 0.156 0.339 0.373 1
P1 P 0.296 0.784 0.389 1
P2 P 0.328 0.328 0.881 1
W1 W 0.206 0.852 0.828 1
O1 O 0.116 0.655 0.445 1
O2 O 0.132 0.551 0.818 1
O3 O 0.153 0.025 0.323 1
O4 O 0.231 0.158 0.839 1
O5 O 0.411 0.305 0.066 1
O6 O 0.418 0.678 0.226 1
O7 O 0.499 0.238 0.482 1
```

Top 12 peaks for 10 to 80 degrees two-theta, in order of rising 2θ:
- 2θ = 11.22°, I 28, hkl 0 0 1
- 2θ = 18.19°, I 67, hkl 1 1 0
- 2θ = 19.58°, I 36, hkl 0 1 -1
- 2θ = 19.93°, I 43, hkl 1 0 -1
- 2θ = 20.53°, I 39, hkl 1 0 1
- 2θ = 24.58°, I 41, hkl 0 1 2
- 2θ = 27.80°, I 100, hkl 1 0 -2
- 2θ = 28.17°, I 54, hkl 1 2 0
- 2θ = 28.66°, I 61, hkl 1 0 2
- 2θ = 28.97°, I 44, hkl 1 -1 1
- 2θ = 33.47°, I 38, hkl 0 2 2
- 2θ = 34.11°, I 27, hkl 0 0 3

=====

Diffraction record for Li3VCrP2H2O10. The PXRD pattern is computed, not measured: it uses a cell relaxed with GGA+U and Cu Ka.
No peak broadening, texture or thermal motion is included.

Crystal structure
```
data_Li3VCrP2H2O10
_chemical_formula_sum 'Li3 V1 Cr1 P2 H2 O10'
_symmetry_space_group_name_H-M 'P 1'
_symmetry_Int_Tables_number 1
_cell_length_a 5.176
_cell_length_b 5.585
_cell_length_c 7.537
_cell_angle_alpha 110.67
_cell_angle_beta 106.25
_cell_angle_gamma 95.58
loop_
_symmetry_equiv_pos_as_xyz
'x,y,z'
loop_
_atom_site_label
_atom_site_type_symbol
_atom_site_fract_x
_atom_site_fract_y
_atom_site_fract_z
_atom_site_occupancy
Li1 Li 0.000 0.000 0.000 1
Li2 Li 0.012 0.272 0.477 1
Li3 Li 0.597 0.887 0.310 1
V1 V 0.445 0.070 0.664 1
Cr1 Cr 0.935 0.560 0.152 1
P1 P 0.363 0.691 0.915 1
P2 P 0.504 0.437 0.380 1
H1 H 0.952 0.830 0.506 1
H2 H 0.973 0.287 0.831 1
O1 O 0.031 0.889 0.419 1
O2 O 0.180 0.357 0.288 1
O3 O 0.237 0.737 0.090 1
O4 O 0.258 0.404 0.759 1
O5 O 0.269 0.885 0.822 1
O6 O 0.596 0.729 0.524 1
O7 O 0.607 0.250 0.482 1
O8 O 0.628 0.396 0.209 1
O9 O 0.683 0.761 0.024 1
O10 O 0.842 0.248 0.895 1
```

Top 12 peaks for 10 to 80 degrees two-theta, in order of rising 2θ:
- 2θ = 17.20°, I 37, hkl 0 1 -1
- 2θ = 17.39°, I 26, hkl 0 1 0
- 2θ = 18.29°, I 28, hkl 1 0 0
- 2θ = 18.67°, I 24, hkl 1 0 -1
- 2θ = 22.37°, I 21, hkl 1 -1 0
- 2θ = 25.74°, I 32, hkl 1 -1 1
- 2θ = 25.92°, I 100, hkl 0 1 1
- 2θ = 26.16°, I 66, hkl 1 0 1
- 2θ = 28.29°, I 89, hkl 1 1 -2
- 2θ = 34.62°, I 22, hkl 1 -1 2
- 2θ = 35.65°, I 39, hkl 1 -2 1
- 2θ = 53.31°, I 32, hkl 0 2 2

=====

Diffraction record for MgCo2Ag2O4. The PXRD pattern is computed, not measured: it uses a cell relaxed with GGA+U and Cu Ka.
No peak broadening, texture or thermal motion is included.

Crystal structure
```
data_MgCo2Ag2O4
_chemical_formula_sum 'Mg1 Co2 Ag2 O4'
_symmetry_space_group_name_H-M 'P 3 m 1'
_symmetry_Int_Tables_number 156
_cell_length_a 3.0428
_cell_length_b 3.0428
_cell_length_c 14.3539
_cell_angle_alpha 90.00
_cell_angle_beta 90.00
_cell_angle_gamma 120.00
loop_
_symmetry_equiv_pos_as_xyz
'x,y,z'
'-y,x-y,z'
'-x+y,-x,z'
'-y,-x,z'
'-x+y,y,z'
'x,x-y,z'
loop_
_atom_site_label
_atom_site_type_symbol
_atom_site_fract_x
_atom_site_fract_y
_atom_site_fract_z
_atom_site_occupancy
Mg1 Mg 0.0000 0.0000 0.0000 1
Co1 Co 0.0000 0.0000 0.1836 1
Co2 Co 0.0000 0.0000 0.6114 1
Ag1 Ag 0.3333 0.6667 0.3935 1
Ag2 Ag 0.6667 0.3333 0.8360 1
O1 O 0.3333 0.6667 0.2435 1
O2 O 0.3333 0.6667 0.5395 1
O3 O 0.6667 0.3333 0.0723 1
O4 O 0.6667 0.3333 0.6810 1
```

Top 12 peaks for 10 to 80 degrees two-theta, in order of rising 2θ:
- 2θ = 12.33°, I 19, hkl 0 0 2
- 2θ = 24.81°, I 27, hkl 0 0 4
- 2θ = 31.15°, I 37, hkl 0 0 5
- 2θ = 34.61°, I 100, hkl 0 1 1
- 2θ = 36.32°, I 76, hkl 1 0 2
- 2θ = 39.02°, I 43, hkl 0 1 3
- 2θ = 42.56°, I 21, hkl 1 0 4
- 2θ = 46.80°, I 25, hkl 1 0 5
- 2θ = 51.60°, I 26, hkl 1 0 6
- 2θ = 56.90°, I 28, hkl 0 1 7
- 2θ = 60.89°, I 34, hkl 1 1 0
- 2θ = 69.99°, I 20, hkl 1 1 5

=====

Diffraction record for Co2SiO4. The PXRD pattern is computed, not measured: it uses a cell relaxed with GGA+U and Cu Ka.
No peak broadening, texture or thermal motion is included.

Crystal structure
```
data_Co2SiO4
_chemical_formula_sum 'Co8 Si4 O16'
_symmetry_space_group_name_H-M 'P 1 21/c 1'
_symmetry_Int_Tables_number 14
_cell_length_a 4.819
_cell_length_b 10.413
_cell_length_c 7.703
_cell_angle_alpha 90.00
_cell_angle_beta 128.33
_cell_angle_gamma 90.00
loop_
_symmetry_equiv_pos_as_xyz
'x,y,z'
'-x,-y,-z'
'-x,y+1/2,-z+1/2'
'x,-y+1/2,z+1/2'
loop_
_atom_site_label
_atom_site_type_symbol
_atom_site_fract_x
_atom_site_fract_y
_atom_site_fract_z
_atom_site_occupancy
Co1 Co 0.000 0.000 0.000 1
Co2 Co 0.245 0.225 0.751 1
Co3 Co 0.500 0.000 0.500 1
Si1 Si 0.322 0.594 0.249 1
O1 O 0.016 0.092 0.248 1
O2 O 0.255 0.666 0.033 1
O3 O 0.316 0.162 0.030 1
O4 O 0.466 0.051 0.740 1
```

Top 12 peaks for 10 to 80 degrees two-theta, in order of rising 2θ:
- 2θ = 25.06°, I 41, hkl 1 1 0
- 2θ = 25.21°, I 46, hkl 1 1 -2
- 2θ = 31.77°, I 100, hkl 1 3 -1
- 2θ = 34.32°, I 46, hkl 0 2 2
- 2θ = 35.10°, I 42, hkl 1 3 0
- 2θ = 35.21°, I 46, hkl 1 3 -2
- 2θ = 36.03°, I 61, hkl 1 1 1
- 2θ = 36.24°, I 53, hkl 1 1 -3
- 2θ = 51.44°, I 48, hkl 2 2 0
- 2θ = 51.73°, I 82, hkl 2 2 -4
- 2θ = 61.37°, I 27, hkl 0 0 4
- 2θ = 61.63°, I 37, hkl 0 6 2

=====

Diffraction record for LuVO4. The PXRD pattern is computed, not measured: it uses a cell relaxed with GGA+U and Cu Ka.
No peak broadening, texture or thermal motion is included.

Crystal structure
```
data_LuVO4
_chemical_formula_sum 'Lu4 V4 O16'
_symmetry_space_group_name_H-M 'I 41/a m d'
_symmetry_Int_Tables_number 141
_cell_length_a 7.069
_cell_length_b 7.069
_cell_length_c 6.280
_cell_angle_alpha 90.00
_cell_angle_beta 90.00
_cell_angle_gamma 90.00
loop_
_symmetry_equiv_pos_as_xyz
'x,y,z'
'-x,-y,-z'
'-y+1/4,x+3/4,z+1/4'
'y+1/4,-x+3/4,-z+1/4'
'-x+1/2,-y,z+1/2'
'x+1/2,y,-z+1/2'
'y+1/4,-x+1/4,z+3/4'
'-y+1/4,x+1/4,-z+3/4'
'x,-y,-z'
'-x,y,z'
'-y+1/4,-x+1/4,-z+3/4'
'y+1/4,x+1/4,z+3/4'
'-x+1/2,y,-z+1/2'
'x+1/2,-y,z+1/2'
'y+1/4,x+3/4,-z+1/4'
'-y+1/4,-x+3/4,z+1/4'
'x+1/2,y+1/2,z+1/2'
'-x+1/2,-y+1/2,-z+1/2'
'-y+3/4,x+1/4,z+3/4'
'y+3/4,-x+1/4,-z+3/4'
'-x,-y+1/2,z'
'x,y+1/2,-z'
'y+3/4,-x+3/4,z+1/4'
'-y+3/4,x+3/4,-z+1/4'
'x+1/2,-y+1/2,-z+1/2'
'-x+1/2,y+1/2,z+1/2'
'-y+3/4,-x+3/4,-z+1/4'
'y+3/4,x+3/4,z+1/4'
'-x,y+1/2,-z'
'x,-y+1/2,z'
'y+3/4,x+1/4,-z+3/4'
'-y+3/4,-x+1/4,z+3/4'
loop_
_atom_site_label
_atom_site_type_symbol
_atom_site_fract_x
_atom_site_fract_y
_atom_site_fract_z
_atom_site_occupancy
Lu1 Lu 0.000 0.250 0.375 1
V1 V 0.000 0.250 0.875 1
O1 O 0.000 0.062 0.697 1
```

Top 12 peaks for 10 to 80 degrees two-theta, in order of rising 2θ:
- 2θ = 18.90°, I 50, hkl 1 0 1
- 2θ = 25.20°, I 100, hkl 2 0 0
- 2θ = 31.69°, I 18, hkl 2 1 1
- 2θ = 33.71°, I 74, hkl 1 1 2
- 2θ = 35.93°, I 22, hkl 2 2 0
- 2θ = 40.90°, I 16, hkl 3 0 1
- 2θ = 48.65°, I 14, hkl 3 2 1
- 2θ = 50.09°, I 60, hkl 3 1 2
- 2θ = 51.72°, I 16, hkl 4 0 0
- 2θ = 58.38°, I 15, hkl 4 2 0
- 2θ = 63.17°, I 17, hkl 3 3 2
- 2θ = 74.87°, I 14, hkl 5 1 2

=====

Diffraction record for ErVO3. The PXRD pattern is computed, not measured: it uses a cell relaxed with GGA+U and Cu Ka.
No peak broadening, texture or thermal motion is included.

Crystal structure
```
data_ErVO3
_chemical_formula_sum 'Er4 V4 O12'
_symmetry_space_group_name_H-M 'P n m a'
_symmetry_Int_Tables_number 62
_cell_length_a 5.719
_cell_length_b 7.612
_cell_length_c 5.293
_cell_angle_alpha 90.00
_cell_angle_beta 90.00
_cell_angle_gamma 90.00
loop_
_symmetry_equiv_pos_as_xyz
'x,y,z'
'-x,-y,-z'
'-x+1/2,-y,z+1/2'
'x+1/2,y,-z+1/2'
'x+1/2,-y+1/2,-z+1/2'
'-x+1/2,y+1/2,z+1/2'
'-x,y+1/2,-z'
'x,-y+1/2,z'
loop_
_atom_site_label
_atom_site_type_symbol
_atom_site_fract_x
_atom_site_fract_y
_atom_site_fract_z
_atom_site_occupancy
Er1 Er 0.072 0.250 0.021 1
V1 V 0.000 0.000 0.500 1
O1 O 0.050 0.750 0.376 1
O2 O 0.187 0.562 0.807 1
```

Top 12 peaks for 10 to 80 degrees two-theta, in order of rising 2θ:
- 2θ = 22.89°, I 29, hkl 1 0 1
- 2θ = 23.37°, I 20, hkl 0 2 0
- 2θ = 25.75°, I 28, hkl 1 1 1
- 2θ = 31.28°, I 17, hkl 2 0 0
- 2θ = 32.95°, I 100, hkl 1 2 1
- 2θ = 33.48°, I 17, hkl 2 1 0
- 2θ = 33.87°, I 24, hkl 0 0 2
- 2θ = 46.77°, I 15, hkl 2 0 2
- 2θ = 47.80°, I 14, hkl 0 4 0
- 2θ = 48.36°, I 18, hkl 2 1 2
- 2θ = 52.42°, I 25, hkl 3 1 1
- 2θ = 60.01°, I 28, hkl 1 2 3

=====

Diffraction record for MgCu3Mo4O12. The PXRD pattern is computed, not measured: it uses a cell relaxed with GGA+U and Cu Ka.
No peak broadening, texture or thermal motion is included.

Crystal structure
```
data_MgCu3Mo4O12
_chemical_formula_sum 'Mg1 Cu3 Mo4 O12'
_symmetry_space_group_name_H-M 'P -1'
_symmetry_Int_Tables_number 2
_cell_length_a 6.622
_cell_length_b 6.625
_cell_length_c 6.632
_cell_angle_alpha 109.35
_cell_angle_beta 109.44
_cell_angle_gamma 109.33
loop_
_symmetry_equiv_pos_as_xyz
'x,y,z'
'-x,-y,-z'
loop_
_atom_site_label
_atom_site_type_symbol
_atom_site_fract_x
_atom_site_fract_y
_atom_site_fract_z
_atom_site_occupancy
Mg1 Mg 0.000 0.000 0.000 1
Cu1 Cu 0.000 0.500 0.500 1
Cu2 Cu 0.500 0.000 0.500 1
Cu3 Cu 0.500 0.500 0.000 1
Mo1 Mo 0.000 0.000 0.500 1
Mo2 Mo 0.000 0.500 0.000 1
Mo3 Mo 0.500 0.000 0.000 1
Mo4 Mo 0.500 0.500 0.500 1
O1 O 0.133 0.308 0.834 1
O2 O 0.165 0.866 0.691 1
O3 O 0.170 0.472 0.304 1
O4 O 0.304 0.170 0.474 1
O5 O 0.305 0.835 0.133 1
O6 O 0.472 0.302 0.168 1
```

Top 12 peaks for 10 to 80 degrees two-theta, in order of rising 2θ:
- 2θ = 23.22°, I 25, hkl 1 -1 1
- 2θ = 33.01°, I 100, hkl 0 0 2
- 2θ = 33.14°, I 97, hkl 2 0 -2
- 2θ = 47.47°, I 49, hkl 2 -2 2
- 2θ = 58.88°, I 24, hkl 2 2 0
- 2θ = 59.11°, I 47, hkl 2 -4 0
- 2θ = 59.21°, I 24, hkl -4 2 2
- 2θ = 69.22°, I 8, hkl 0 4 0
- 2θ = 69.51°, I 8, hkl 0 4 -4
- 2θ = 78.91°, I 8, hkl -2 4 2
- 2θ = 79.00°, I 9, hkl 2 -2 4
- 2θ = 79.13°, I 11, hkl -4 2 4

=====

Diffraction record for CoSO10. The PXRD pattern is computed, not measured: it uses a cell relaxed with GGA+U and Cu Ka.
No peak broadening, texture or thermal motion is included.

Crystal structure
```
data_CoSO10
_chemical_formula_sum 'Co8 S8 O80'
_symmetry_space_group_name_H-M 'C 1 2/c 1'
_symmetry_Int_Tables_number 15
_cell_length_a 10.759
_cell_length_b 7.369
_cell_length_c 24.470
_cell_angle_alpha 90.00
_cell_angle_beta 101.56
_cell_angle_gamma 90.00
loop_
_symmetry_equiv_pos_as_xyz
'x,y,z'
'-x,-y,-z'
'-x,y,-z+1/2'
'x,-y,z+1/2'
'x+1/2,y+1/2,z'
'-x+1/2,-y+1/2,-z'
'-x+1/2,y+1/2,-z+1/2'
'x+1/2,-y+1/2,z+1/2'
loop_
_atom_site_label
_atom_site_type_symbol
_atom_site_fract_x
_atom_site_fract_y
_atom_site_fract_z
_atom_site_occupancy
Co1 Co 0.000 0.000 0.000 1
Co2 Co 0.000 0.053 0.250 1
S1 S 0.130 0.451 0.878 1
O1 O 0.010 0.144 0.059 1
O2 O 0.012 0.448 0.835 1
O3 O 0.079 0.492 0.928 1
O4 O 0.085 0.195 0.530 1
O5 O 0.107 0.202 0.225 1
O6 O 0.108 0.098 0.727 1
O7 O 0.133 0.051 0.307 1
O8 O 0.151 0.027 0.982 1
O9 O 0.203 0.279 0.883 1
O10 O 0.224 0.414 0.366 1
```

Top 12 peaks for 10 to 80 degrees two-theta, in order of rising 2θ:
- 2θ = 14.67°, I 28, hkl 1 1 0
- 2θ = 15.65°, I 16, hkl 1 1 -2
- 2θ = 16.82°, I 23, hkl 2 0 0
- 2θ = 16.97°, I 11, hkl 2 0 -2
- 2θ = 17.18°, I 14, hkl 1 1 2
- 2θ = 19.64°, I 100, hkl 1 1 -4
- 2θ = 20.08°, I 15, hkl 2 0 -4
- 2θ = 22.06°, I 51, hkl 1 1 4
- 2θ = 24.15°, I 18, hkl 0 2 0
- 2θ = 24.63°, I 15, hkl 2 0 4
- 2θ = 28.15°, I 8, hkl 3 1 0
- 2θ = 29.62°, I 12, hkl 2 2 0

=====

Diffraction record for CaLa2Ti2Cr2O12. The PXRD pattern is computed, not measured: it uses a cell relaxed with GGA+U and Cu Ka.
No peak broadening, texture or thermal motion is included.

Crystal structure
```
data_CaLa2Ti2Cr2O12
_chemical_formula_sum 'Ca1 La2 Ti2 Cr2 O12'
_symmetry_space_group_name_H-M 'P 1'
_symmetry_Int_Tables_number 1
_cell_length_a 5.448
_cell_length_b 5.468
_cell_length_c 7.714
_cell_angle_alpha 89.69
_cell_angle_beta 89.96
_cell_angle_gamma 89.10
loop_
_symmetry_equiv_pos_as_xyz
'x,y,z'
loop_
_atom_site_label
_atom_site_type_symbol
_atom_site_fract_x
_atom_site_fract_y
_atom_site_fract_z
_atom_site_occupancy
Ca1 Ca 0.000 0.000 0.000 1
La1 La 0.490 0.495 0.000 1
La2 La 0.992 0.946 0.498 1
Ti1 Ti 0.496 0.980 0.742 1
Ti2 Ti 0.992 0.465 0.260 1
Cr1 Cr 0.496 0.971 0.252 1
Cr2 Cr 0.991 0.471 0.746 1
O1 O 0.048 0.469 0.500 1
O2 O 0.216 0.748 0.783 1
O3 O 0.219 0.748 0.214 1
O4 O 0.264 0.241 0.789 1
O5 O 0.270 0.235 0.209 1
O6 O 0.444 0.979 0.497 1
O7 O 0.558 0.957 0.001 1
O8 O 0.724 0.698 0.274 1
O9 O 0.729 0.694 0.723 1
O10 O 0.782 0.181 0.269 1
O11 O 0.782 0.183 0.729 1
O12 O 0.937 0.460 0.997 1
```

Top 12 peaks for 10 to 80 degrees two-theta, in order of rising 2θ:
- 2θ = 19.90°, I 92, hkl 1 0 1
- 2θ = 19.96°, I 92, hkl 1 0 -1
- 2θ = 32.63°, I 51, hkl 1 1 2
- 2θ = 32.77°, I 100, hkl 1 1 -2
- 2θ = 32.89°, I 99, hkl -1 1 2
- 2θ = 33.02°, I 50, hkl 1 -1 2
- 2θ = 40.55°, I 32, hkl 0 2 -2
- 2θ = 46.71°, I 40, hkl 2 2 0
- 2θ = 47.12°, I 39, hkl 0 0 4
- 2θ = 47.49°, I 36, hkl 2 -2 0
- 2θ = 58.39°, I 29, hkl 3 1 2
- 2θ = 58.92°, I 31, hkl 3 -1 2

=====

Diffraction record for Li9Mn2Co5O16. The PXRD pattern is computed, not measured: it uses a cell relaxed with GGA+U and Cu Ka.
No peak broadening, texture or thermal motion is included.

Crystal structure
```
data_Li9Mn2Co5O16
_chemical_formula_sum 'Li9 Mn2 Co5 O16'
_symmetry_space_group_name_H-M 'P 1 m 1'
_symmetry_Int_Tables_number 6
_cell_length_a 5.177
_cell_length_b 2.910
_cell_length_c 19.433
_cell_angle_alpha 90.00
_cell_angle_beta 96.47
_cell_angle_gamma 90.00
loop_
_symmetry_equiv_pos_as_xyz
'x,y,z'
'x,-y,z'
loop_
_atom_site_label
_atom_site_type_symbol
_atom_site_fract_x
_atom_site_fract_y
_atom_site_fract_z
_atom_site_occupancy
Li1 Li 0.000 0.000 0.000 1
Li2 Li 0.001 0.500 0.494 1
Li3 Li 0.246 0.000 0.746 1
Li4 Li 0.261 0.500 0.240 1
Li5 Li 0.487 0.500 0.002 1
Li6 Li 0.501 0.000 0.493 1
Li7 Li 0.755 0.000 0.242 1
Li8 Li 0.756 0.500 0.745 1
Li9 Li 0.876 0.500 0.121 1
Mn1 Mn 0.376 0.500 0.620 1
Mn2 Mn 0.625 0.000 0.872 1
Co1 Co 0.124 0.500 0.872 1
Co2 Co 0.127 0.000 0.368 1
Co3 Co 0.376 0.000 0.121 1
Co4 Co 0.627 0.500 0.369 1
Co5 Co 0.876 0.000 0.620 1
O1 O 0.034 0.500 0.676 1
O2 O 0.112 0.000 0.174 1
O3 O 0.206 0.500 0.066 1
O4 O 0.213 0.000 0.562 1
O5 O 0.284 0.000 0.931 1
O6 O 0.311 0.500 0.426 1
O7 O 0.445 0.000 0.313 1
O8 O 0.446 0.500 0.816 1
O9 O 0.539 0.000 0.678 1
O10 O 0.547 0.500 0.176 1
O11 O 0.641 0.000 0.067 1
O12 O 0.719 0.500 0.563 1
O13 O 0.802 0.500 0.929 1
O14 O 0.814 0.000 0.427 1
O15 O 0.943 0.500 0.311 1
O16 O 0.958 0.000 0.811 1
```

Top 12 peaks for 10 to 80 degrees two-theta, in order of rising 2θ:
- 2θ = 18.38°, I 100, hkl 0 0 4
- 2θ = 35.08°, I 16, hkl 2 0 -2
- 2θ = 36.03°, I 26, hkl 1 1 1
- 2θ = 37.21°, I 8, hkl 2 0 2
- 2θ = 37.43°, I 7, hkl 1 1 -3
- 2θ = 42.44°, I 29, hkl 2 0 -6
- 2θ = 43.82°, I 54, hkl 1 1 5
- 2θ = 47.36°, I 10, hkl 1 1 -7
- 2θ = 57.85°, I 10, hkl 1 1 9
- 2θ = 62.60°, I 15, hkl 3 1 -1
- 2θ = 62.70°, I 15, hkl 1 1 -11
- 2θ = 64.00°, I 7, hkl 0 2 0